This entry pairs a crystal structure of SrTbIrPd with its simulated powder diffractogram. Radiation: a wavelength of 1.5418 Å. Structure: DFT lattice parameters and positions (GGA-PBE).
Intensities are scaled so that the largest is 100.

Structure:
Cell: 5.023 5.023 5.023 Å, 60.00 60.00 60.00°
Element x y z (fractional)
1 Sr 0.000 0.000 0.000
2 Tb 0.500 0.500 0.500
3 Ir 0.250 0.250 0.250
4 Pd 0.750 0.750 0.750

Peak list (10 most intense, 2θ = 10–90°, sorted by position)
2θ (°)	d_spacing	I (rel.)
21.67	4.102	9
35.75	2.512	100
42.19	2.142	5
51.45	1.776	18
56.46	1.630	2
64.23	1.450	36
68.65	1.367	2
75.74	1.256	11
79.88	1.201	2
86.68	1.123	16